Theoretical powder XRD pattern
Compound: Cs2MnV2Cl2O6
Radiation: Cu Kα, 1.54184 Å
Structure: a cell relaxed with PBE+U
Lines closer than 0.1° are merged.

Top 8 peaks for 10 to 90 degrees two-theta, by angle:
2θ 22.41, 3.968 Å, I 84, (1 1 1); 2θ 25.01, 3.561 Å, I 79, (0 4 1); 2θ 26.49, 3.364 Å, I 100, (1 3 1); 2θ 29.47, 3.031 Å, I 46, (1 5 0); 2θ 30.55, 2.926 Å, I 41, (0 0 2); 2θ 31.62, 2.830 Å, I 49, (2 0 0); 2θ 40.73, 2.215 Å, I 33, (2 4 1); 2θ 44.54, 2.034 Å, I 26, (2 0 2)

Atomic structure:
Cell lengths 5.6596, 17.9479, 5.8527 Å; angles 90.00, 90.00, 90.00 degrees
Space group Cmm2 (No. 35)
Asymmetric unit:
Cs1 0.0000 0.1277 0.0000 [4 per cell]
Mn1 0.0000 0.5000 0.5070 [2 per cell]
V1 0.0000 0.3016 0.5150 [4 per cell]
Cl1 0.0000 0.0000 0.5264 [2 per cell]
Cl2 0.0000 0.5000 0.0935 [2 per cell]
O1 0.0000 0.2996 0.2331 [4 per cell]
O2 0.0000 0.3911 0.6139 [4 per cell]
O3 0.2500 0.2500 0.6280 [4 per cell]